No. 1
Calculated X-ray powder pattern of PaHg2PdO6 for Cu Kα (weighted mean of Kα1 and Kα2), from the PBE geometry in Alexandria.

Largest 10 diffraction maxima, by angle, 15° ≤ 2θ ≤ 90°:
Position (°2θ)	I/Imax
29.65	100
29.89	92
30.44	90
30.69	87
30.95	81
31.60	76
42.29	43
44.45	77
54.31	23
54.91	37

Cell and atoms:
a b c (Å): 5.6634 5.7857 5.8801
angles (deg): 118.16 90.03 118.75
Element x y z (fractional)
1 Pa 0.0000 0.0000 0.0000
2 Hg 0.2491 0.4812 0.7246
3 Hg 0.7509 0.5188 0.2754
4 Pd 0.5000 0.0000 0.5000
5 O 0.1207 0.4769 0.2452
6 O 0.2732 0.1178 0.7508
7 O 0.3634 0.1200 0.2763
8 O 0.6366 0.8800 0.7237
9 O 0.7268 0.8822 0.2492
10 O 0.8793 0.5231 0.7548

No. 2
Calculated X-ray powder pattern of PaHg2Pt3O12 for Cu Kα (weighted mean of Kα1 and Kα2), from the PBE geometry in Alexandria.

Largest 10 diffraction maxima, by angle, 15° ≤ 2θ ≤ 90°:
Position (°2θ)	I/Imax
24.63	32
29.11	71
30.20	100
30.82	77
32.27	56
46.97	32
48.43	44
50.51	66
55.89	32
61.21	22

Cell and atoms:
a b c (Å): 6.6340 6.6340 6.6340
angles (deg): 66.03 66.03 66.03
Element x y z (fractional)
1 Pa 0.0000 0.0000 0.0000
2 Hg 0.3878 0.3878 0.3878
3 Hg 0.6122 0.6122 0.6122
4 Pt 0.0000 0.0000 0.5000
5 Pt 0.0000 0.5000 0.0000
6 Pt 0.5000 0.0000 0.0000
7 O 0.1354 0.7428 0.7428
8 O 0.1468 0.1468 0.5891
9 O 0.1468 0.5891 0.1468
10 O 0.2572 0.2572 0.8646
11 O 0.2572 0.8646 0.2572
12 O 0.4109 0.8532 0.8532
13 O 0.5891 0.1468 0.1468
14 O 0.7428 0.1354 0.7428
15 O 0.7428 0.7428 0.1354
16 O 0.8532 0.4109 0.8532
17 O 0.8532 0.8532 0.4109
18 O 0.8646 0.2572 0.2572